Entry 1:
CdFeO3: calculated XRD peak list (Cu Kα), based on DFT lattice parameters and positions (GGA+U).

Cell and atoms:
```
20
Lattice="5.368 0.000 0.000 0.000 7.667 0.000 -0.068 0.000 5.489" Properties=species:S:1:pos:R:3 pbc="T T T"
Cd 0.010 1.917 2.494
Cd 2.540 1.917 5.225
Cd 2.760 5.750 0.264
Cd 5.291 5.750 2.994
Fe 0.000 0.000 0.000
Fe 0.000 3.834 0.000
Fe 2.650 0.000 2.744
Fe 2.650 3.834 2.744
O 0.492 5.750 5.286
O 0.987 0.401 3.895
O 0.987 3.433 3.895
O 1.575 0.403 1.099
O 1.575 3.431 1.099
O 2.179 5.750 2.568
O 3.121 1.917 2.920
O 3.725 4.236 4.390
O 3.725 7.265 4.390
O 4.313 4.235 1.594
O 4.313 7.266 1.594
O 4.809 1.917 0.202
```

The 12 most intense peaks (10° ≤ 2θ ≤ 90°), in order of rising 2θ:
2theta	I_rel
32.6	43
32.9	100
33.1	95
33.4	47
41.1	15
47.1	25
47.4	28
47.7	22
58.7	30
59.2	43
59.6	21
69.6	16

=====

Entry 2:
Li9Mn2Co5O16: calculated XRD peak list (Cu Kα), based on DFT lattice parameters and positions (GGA+U).

Cell and atoms:
```
32
Lattice="5.005 0.000 0.000 -0.217 5.809 0.000 -1.621 -2.647 9.580" Properties=species:S:1:pos:R:3 pbc="T T T"
Li 0.000 0.000 0.000
Li -0.220 3.125 7.292
Li 0.649 4.438 2.376
Li 0.770 1.489 2.390
Li -0.039 0.228 7.251
Li 3.207 2.934 2.329
Li 2.397 1.673 7.189
Li 2.518 -1.276 7.204
Li 3.388 0.038 2.288
Mn -0.810 -1.323 4.790
Mn -0.919 1.581 4.790
Co -0.109 2.904 0.000
Co 0.802 -1.225 9.572
Co 1.639 0.128 4.787
Co 1.528 3.034 4.792
Co 2.366 4.387 0.008
O 0.050 -0.013 3.638
O -0.058 2.895 3.647
O -0.878 1.616 8.526
O -0.710 -1.192 8.501
O 0.887 -1.336 5.829
O 0.777 1.563 5.831
O 1.623 2.886 1.040
O 1.805 0.019 1.048
O 1.362 3.143 8.531
O 1.545 0.276 8.540
O 2.390 1.600 3.749
O 2.280 4.499 3.750
O 3.877 4.354 1.079
O 4.046 1.547 1.053
O 3.225 0.268 5.933
O 3.118 3.175 5.942
```

The 12 most intense peaks (10° ≤ 2θ ≤ 90°), in order of rising 2θ:
2theta	I_rel
18.5	100
35.6	15
36.5	13
37.0	12
42.9	29
44.2	26
44.9	25
48.1	9
63.3	8
63.4	7
63.6	7
64.2	14

=====

Entry 3:
MgCrFeO4: calculated XRD peak list (Cu Kα), based on DFT lattice parameters and positions (GGA+U).

Cell and atoms:
```
14
Lattice="-3.011 3.018 4.264 3.011 -3.018 4.264 3.011 3.018 -4.264" Properties=species:S:1:pos:R:3 pbc="T T T"
Mg 0.000 1.509 1.073
Mg 3.011 1.509 3.191
Cr 3.011 0.000 0.000
Cr 0.000 0.000 4.264
Fe 1.505 1.509 -2.132
Fe 1.505 -1.509 2.132
O 3.011 -0.120 2.037
O 1.641 1.509 -0.086
O 4.381 1.509 -0.086
O 3.011 2.898 -2.037
O 0.000 0.120 6.300
O -1.370 1.509 4.350
O 1.370 1.509 4.350
O 0.000 3.138 2.227
```

The 12 most intense peaks (10° ≤ 2θ ≤ 90°), in order of rising 2θ:
2theta	I_rel
18.0	72
29.6	11
34.9	100
36.5	13
42.4	59
46.4	6
56.0	39
61.5	49
61.6	10
64.7	8
87.9	8
88.0	7

=====

Entry 4:
KMnF3: calculated XRD peak list (Cu Kα), based on DFT lattice parameters and positions (GGA+U).

Cell and atoms:
```
20
Lattice="6.012 0.000 0.000 0.000 8.540 0.000 -0.003 0.000 6.045" Properties=species:S:1:pos:R:3 pbc="T T T"
K 0.018 2.135 0.047
K 2.979 6.405 2.997
K 3.031 2.135 3.047
K 5.991 6.405 5.998
Mn -0.001 0.000 3.022
Mn -0.001 4.270 3.022
Mn 3.006 0.000 0.000
Mn 3.006 4.270 0.000
F 0.006 2.135 3.039
F 1.415 4.326 4.617
F 1.415 8.485 4.617
F 1.591 0.023 1.597
F 1.591 4.247 1.597
F 2.984 2.135 5.978
F 3.025 6.405 0.067
F 4.418 4.293 4.448
F 4.418 8.517 4.448
F 4.595 0.056 1.428
F 4.595 4.215 1.428
F 6.003 6.405 3.006
```

The 12 most intense peaks (10° ≤ 2θ ≤ 90°), in order of rising 2θ:
2theta	I_rel
20.8	31
29.6	100
29.7	20
42.4	84
47.6	8
52.5	22
52.6	15
61.3	8
61.5	31
61.7	7
69.6	9
84.9	9

=====

Entry 5:
Sr2MgZnWO6: calculated XRD peak list (Cu Kα), based on DFT lattice parameters and positions (GGA+U).

Cell and atoms:
```
11
Lattice="2.987 1.724 5.408 -2.987 1.724 5.408 0.000 -3.449 5.408" Properties=species:S:1:pos:R:3 pbc="T T T"
Sr 0.000 0.000 0.000
Sr 0.000 0.000 6.669
Mg 0.000 0.000 10.270
Zn 0.000 0.000 13.041
W 0.000 0.000 3.344
O -1.608 -0.928 12.764
O 0.000 -1.860 10.061
O -1.611 0.930 10.061
O 1.608 -0.928 12.764
O 0.000 1.857 12.764
O 1.611 0.930 10.061
```

The 12 most intense peaks (10° ≤ 2θ ≤ 90°), in order of rising 2θ:
2theta	I_rel
18.0	50
20.4	20
28.0	17
29.9	100
32.6	84
41.4	19
44.8	36
53.1	21
54.8	43
59.7	15
62.2	21
72.0	17

=====

Entry 6:
Cs2Tm2MgW4O16: calculated XRD peak list (Cu Kα), based on DFT lattice parameters and positions (GGA+U).

Cell and atoms:
```
25
Lattice="6.950 0.000 0.000 2.942 7.030 0.000 2.958 2.116 7.401" Properties=species:S:1:pos:R:3 pbc="T T T"
Cs 0.000 0.000 0.000
Cs 4.530 2.092 2.295
Tm 6.295 5.622 2.144
Tm 8.138 3.448 0.171
Mg 5.170 5.570 4.864
W 6.429 2.631 6.125
W 7.967 6.087 6.198
W 9.386 5.056 3.541
W 7.979 1.480 3.603
O 5.432 7.314 3.509
O 4.402 4.934 3.092
O 4.984 3.990 6.203
O 6.120 6.336 6.599
O 8.183 7.923 5.848
O 6.425 7.001 0.537
O 7.489 5.646 4.251
O 5.946 4.123 0.481
O 7.713 4.163 6.524
O 6.526 2.799 4.147
O 9.687 7.122 3.207
O 8.417 4.953 1.766
O 10.911 8.339 5.531
O 9.894 5.624 5.488
O 7.987 2.093 1.798
O 9.207 3.224 3.849
```

The 12 most intense peaks (10° ≤ 2θ ≤ 90°), in order of rising 2θ:
2theta	I_rel
24.0	21
24.7	58
26.1	53
26.4	36
28.3	18
28.8	50
30.5	45
31.1	100
44.2	20
45.0	29
48.6	22
56.1	19

=====

Entry 7:
ZnWO3: calculated XRD peak list (Cu Kα), based on DFT lattice parameters and positions (GGA+U).

Cell and atoms:
```
5
Lattice="4.072 0.000 0.000 0.000 2.852 2.801 0.000 -2.852 2.801" Properties=species:S:1:pos:R:3 pbc="T T T"
Zn 0.000 0.000 0.000
W 2.036 0.000 3.279
O 0.000 0.000 3.489
O 2.036 -1.449 2.006
O 2.036 1.449 2.006
```

The 12 most intense peaks (10° ≤ 2θ ≤ 90°), in order of rising 2θ:
2theta	I_rel
21.8	15
22.2	36
31.4	100
31.9	16
44.5	13
45.4	19
50.9	12
51.5	8
55.5	9
55.8	23
56.6	10
65.4	16